Theoretical powder diffraction line list
Compound: Cs3GaP2
Radiation: Cu Kα (λ = 1.5418 Å)
Structure: DFT lattice parameters and positions (GGA-PBE)
Kinematic intensities with the Lorentz-polarization factor, no thermal factor.

Most intense lines, 2θ = 10–90°, most intense first:
- 2θ = 25.54°, 3.488 Å, I 100, hkl 3 1 -1
- 2θ = 21.63°, 4.109 Å, I 39, hkl 1 0 4
- 2θ = 29.66°, 3.012 Å, I 37, hkl 1 2 4
- 2θ = 26.61°, 3.350 Å, I 33, hkl 2 2 1
- 2θ = 24.54°, 3.628 Å, I 29, hkl 0 2 3
- 2θ = 32.35°, 2.767 Å, I 28, hkl 1 3 -2

Structure:
Lattice parameters (Å, degrees): 11.379 8.856 19.288 90.00 100.37 90.00
Positions (direct):
Cs 0.080 0.052 0.241
Cs 0.080 0.448 0.741
Cs 0.150 0.532 0.968
Cs 0.150 0.968 0.468
Cs 0.261 0.096 0.923
Cs 0.261 0.404 0.423
Cs 0.289 0.121 0.660
Cs 0.289 0.379 0.160
Cs 0.362 0.748 0.292
Cs 0.362 0.752 0.792
Cs 0.377 0.580 0.610
Cs 0.377 0.920 0.110
Cs 0.623 0.080 0.890
Cs 0.623 0.420 0.390
Cs 0.638 0.248 0.208
Cs 0.638 0.252 0.708
Cs 0.711 0.621 0.840
Cs 0.711 0.879 0.340
Cs 0.739 0.596 0.577
Cs 0.739 0.904 0.077
Cs 0.850 0.032 0.532
Cs 0.850 0.468 0.032
Cs 0.920 0.552 0.259
Cs 0.920 0.948 0.759
Ga 0.046 0.618 0.556
Ga 0.046 0.882 0.056
Ga 0.461 0.055 0.425
Ga 0.461 0.445 0.925
Ga 0.539 0.555 0.075
Ga 0.539 0.945 0.575
Ga 0.954 0.118 0.944
Ga 0.954 0.382 0.444
P 0.047 0.151 0.063
P 0.047 0.349 0.563
P 0.105 0.708 0.140
P 0.105 0.792 0.640
P 0.402 0.140 0.312
P 0.402 0.360 0.812
P 0.495 0.698 0.969
P 0.495 0.802 0.469
P 0.505 0.198 0.531
P 0.505 0.302 0.031
P 0.598 0.640 0.188
P 0.598 0.860 0.688
P 0.895 0.208 0.360
P 0.895 0.292 0.860
P 0.953 0.651 0.437
P 0.953 0.849 0.937